This entry pairs a crystal structure of MoP2O7 with its calculated X-ray powder pattern. Radiation: CuKα. Structure: a PBE+U-relaxed structure.

Atomic structure:
```
data_MoP2O7
_chemical_formula_sum 'Mo4 P8 O28'
_cell_length_a 8.395
_cell_length_b 8.395
_cell_length_c 8.395
_cell_angle_alpha 90.00
_cell_angle_beta 90.00
_cell_angle_gamma 90.00
_space_group_name_H-M_alt 'P a -3'
_space_group_IT_number 205
_space_group_name_Hall '-P 2ac 2ab 3'
loop_
_atom_site_label
_atom_site_type_symbol
_atom_site_fract_x
_atom_site_fract_y
_atom_site_fract_z
_atom_site_occupancy
Mo1 Mo 0.000 0.000 0.000 1
P1 P 0.109 0.609 0.891 1
O1 O 0.000 0.000 0.500 1
O2 O 0.056 0.720 0.414 1
```

Main lines, by angle (2θ = 5–70°):
- hkl 1 1 1, d 4.847, rel. 415
- hkl 2 0 0, d 4.197, rel. 1000
- hkl 2 1 0, d 3.754, rel. 347
- hkl 2 1 1, d 3.427, rel. 350
- hkl 2 2 0, d 2.968, rel. 344
- hkl 3 1 1, d 2.531, rel. 399
- hkl 4 0 2, d 1.877, rel. 295
- hkl 4 2 2, d 1.714, rel. 255
- hkl 5 1 1, d 1.616, rel. 258
- hkl 4 4 0, d 1.484, rel. 112

This entry pairs a crystal structure of MoP2O7 with its calculated X-ray powder pattern. Radiation: CuKα. Structure: a PBE+U-relaxed structure.

Atomic structure:
```
data_MoP2O7
_chemical_formula_sum 'Mo4 P8 O28'
_cell_length_a 7.456
_cell_length_b 8.299
_cell_length_c 9.794
_cell_angle_alpha 90.00
_cell_angle_beta 111.34
_cell_angle_gamma 90.00
_space_group_name_H-M_alt 'P 1 21/c 1'
_space_group_IT_number 14
loop_
_space_group_symop_operation_xyz
'x,y,z'
'-x,-y,-z'
'-x,y+1/2,-z+1/2'
'x,-y+1/2,z+1/2'
loop_
_atom_site_label
_atom_site_type_symbol
_atom_site_fract_x
_atom_site_fract_y
_atom_site_fract_z
_atom_site_occupancy
Mo1 Mo 0.232 0.006 0.248 1
P1 P 0.177 0.710 0.453 1
P2 P 0.430 0.241 0.548 1
O1 O 0.038 0.587 0.351 1
O2 O 0.136 0.618 0.896 1
O3 O 0.186 0.692 0.611 1
O4 O 0.315 0.142 0.100 1
O5 O 0.316 0.193 0.388 1
O6 O 0.385 0.659 0.451 1
O7 O 0.499 0.592 0.854 1
```

Main lines, by angle (2θ = 5–70°):
- hkl 1 1 -1, d 5.286, rel. 1000
- hkl 1 1 1, d 4.125, rel. 386
- hkl 0 1 2, d 3.997, rel. 108
- hkl 2 0 0, d 3.472, rel. 120
- hkl 2 1 0, d 3.203, rel. 138
- hkl 2 1 -2, d 3.169, rel. 91
- hkl 0 2 2, d 3.069, rel. 488
- hkl 1 1 -3, d 3.030, rel. 201
- hkl 2 2 -2, d 2.644, rel. 117
- hkl 3 1 -1, d 2.367, rel. 100